Structure and computed powder diffractogram of EuTmAlTl (the GGA-PBE geometry in Alexandria; CuKα).
Intensities are scaled so that the largest is 100.

Crystal structure
```
EuTmAlTl
1.0
7.544 0.000 0.000
0.000 7.544 0.000
0.000 0.000 7.544
Eu Tm Al Tl
4 4 4 4
direct
0.000 0.000 0.000
0.000 0.500 0.500
0.500 0.000 0.500
0.500 0.500 0.000
0.000 0.000 0.500
0.000 0.500 0.000
0.500 0.000 0.000
0.500 0.500 0.500
0.250 0.250 0.250
0.250 0.750 0.750
0.750 0.250 0.750
0.750 0.750 0.250
0.250 0.250 0.750
0.250 0.750 0.250
0.750 0.250 0.250
0.750 0.750 0.750
```

Main lines, most intense first (2θ from 10° to 80°):
2theta  d [Å]  I (rel.)
33.60  2.667  100.0
60.08  1.540  38.0
20.39  4.356  22.4
48.25  1.886  18.2
39.62  2.275  12.9
70.63  1.334  11.8
52.90  1.731  5.7
64.14  1.452  4.3
74.39  1.275  4.2
23.59  3.772  3.6
54.39  1.687  1.5
41.46  2.178  1.1

---

Structure and computed powder diffractogram of PmSm6In3 (the GGA-PBE geometry in Alexandria; CuKα).
Intensities are scaled so that the largest is 100.

Crystal structure
```
PmSm6In3
1.0
10.322 0.000 0.000
0.000 5.250 0.000
-1.652 0.000 11.268
Pm Sm In
2 12 6
direct
0.047 0.250 0.406
0.953 0.750 0.594
0.070 0.750 0.910
0.141 0.750 0.221
0.181 0.250 0.721
0.276 0.750 0.518
0.364 0.250 0.310
0.453 0.750 0.096
0.547 0.250 0.904
0.636 0.750 0.690
0.724 0.250 0.482
0.819 0.750 0.279
0.859 0.250 0.779
0.930 0.250 0.090
0.245 0.250 0.026
0.359 0.750 0.808
0.456 0.250 0.609
0.544 0.750 0.391
0.641 0.250 0.192
0.755 0.750 0.974
```

Main lines, most intense first (2θ from 10° to 80°):
2theta  d [Å]  I (rel.)
31.36  2.853  100.0
31.54  2.836  92.8
34.16  2.625  42.4
34.04  2.633  38.7
59.51  1.553  28.2
49.00  1.859  27.6
40.87  2.208  19.4
54.29  1.690  16.8
59.41  1.556  16.5
59.15  1.562  13.9
65.43  1.426  9.5
53.97  1.699  8.6

---

Structure and computed powder diffractogram of Ac2Zn3Pt5 (the GGA-PBE geometry in Alexandria; CuKα).
Intensities are scaled so that the largest is 100.

Crystal structure
```
Ac2Zn3Pt5
1.0
-5.420 6.371 2.961
5.420 -6.371 2.961
5.420 6.371 -2.961
Ac Zn Pt
4 6 10
direct
0.127 0.230 0.357
0.373 0.730 0.103
0.627 0.270 0.897
0.873 0.770 0.643
0.143 0.906 0.049
0.250 0.750 0.500
0.357 0.406 0.762
0.643 0.594 0.238
0.750 0.250 0.500
0.857 0.094 0.951
0.039 0.750 0.289
0.106 0.674 0.780
0.250 0.250 0.000
0.394 0.174 0.568
0.461 0.750 0.711
0.539 0.250 0.289
0.606 0.826 0.432
0.750 0.750 0.000
0.894 0.326 0.220
0.961 0.250 0.711
```

Main lines, most intense first (2θ from 10° to 80°):
2theta  d [Å]  I (rel.)
34.51  2.599  100.0
32.60  2.747  93.7
41.64  2.169  75.0
32.24  2.776  38.0
33.04  2.711  26.5
37.16  2.420  22.1
37.96  2.370  20.4
46.84  1.939  20.4
42.40  2.132  19.6
72.52  1.303  19.4
22.48  3.955  17.0
54.16  1.693  16.0